[1]
Starting from a structure optimized by DFT (GGA-PBE), the powder diffractogram of HfTl2I6 was simulated for a wavelength of 1.5418 Å.
Intensities are scaled so that the largest is 100.

Top 10 peaks for 2θ = 10–80°, sorted by position:
2θ/deg	I (rel.)	h k l
15.99	100	1 1 0
21.78	31	1 0 3
24.60	66	1 1 3
25.41	21	2 1 0
31.66	89	2 1 3
32.31	45	2 2 0
37.64	18	0 0 6
39.30	53	3 0 3
41.14	17	1 1 6
50.43	22	2 2 6

Unit cell a=7.8371 b=7.8371 c=14.3380 alpha=90.00 beta=90.00 gamma=90.00
Space group P4_2/mnm (No. 136)
One atom of each set of equivalent atoms:
Hf 0.0000 0.0000 0.0000 x2
Tl 0.0000 0.0000 0.3349 x4
I 0.1813 0.1813 0.1424 x8
I 0.2425 0.2425 0.5000 x4

[2]
Starting from a structure optimized by DFT (GGA-PBE), the powder diffractogram of Hf7In5 was simulated for a wavelength of 1.5418 Å.
Intensities are scaled so that the largest is 100.

Top 10 peaks for 2θ = 10–80°, sorted by position:
2θ/deg	I (rel.)	h k l
34.55	100	3 1 -3
35.23	96	3 1 1
38.57	36	0 0 4
40.71	33	6 0 -2
42.17	30	0 2 0
58.47	21	0 2 4
60.05	20	6 2 -2
66.79	13	3 1 -7
69.73	13	9 1 -5
70.96	14	9 1 -1

Unit cell a=13.3042 b=4.2860 c=10.4570 alpha=90.00 beta=116.77 gamma=90.00
Space group C2/m (No. 12)
One atom of each set of equivalent atoms:
Hf 0.0000 0.0000 0.0000 x2
Hf 0.0853 0.0000 0.7427 x4
Hf 0.0855 0.5000 0.2466 x4
Hf 0.1620 0.0000 0.4903 x4
In 0.0000 0.5000 0.5000 x2
In 0.1633 0.5000 0.9877 x4
In 0.2487 0.5000 0.7342 x4

[3]
Starting from a structure optimized by DFT (GGA-PBE), the powder diffractogram of LiHfInIr2 was simulated for a wavelength of 1.5418 Å.
Intensities are scaled so that the largest is 100.

Top 10 peaks for 2θ = 10–80°, sorted by position:
2θ/deg	I (rel.)	h k l
20.32	2	0 0 1
20.46	2	1 0 0
35.75	100	1 1 1
41.31	17	0 0 2
41.61	34	2 0 0
60.08	23	2 0 2
60.31	11	2 2 0
71.71	13	1 1 3
72.13	26	3 1 1
75.73	12	2 2 2

Unit cell a=4.3406 b=4.3406 c=4.3708 alpha=90.00 beta=90.00 gamma=90.00
Space group P4/mmm (No. 123)
One atom of each set of equivalent atoms:
Li 0.0000 0.0000 0.0000 x1
Hf 0.0000 0.0000 0.5000 x1
In 0.5000 0.5000 0.5000 x1
Ir 0.0000 0.5000 0.0000 x2

[4]
Starting from a structure optimized by DFT (GGA-PBE), the powder diffractogram of KPrHfInO6 was simulated for a wavelength of 1.5418 Å.
Intensities are scaled so that the largest is 100.

Top 10 peaks for 2θ = 10–80°, sorted by position:
2θ/deg	I (rel.)	h k l
18.43	16	1 1 1
21.31	13	2 0 0
30.32	100	2 2 0
35.71	9	3 1 1
43.41	31	4 0 0
48.85	5	4 2 0
53.87	40	4 2 2
63.07	19	4 4 0
71.57	17	6 2 0
79.67	6	4 4 4

Unit cell a=8.3380 b=8.3380 c=8.3380 alpha=90.00 beta=90.00 gamma=90.00
Space group F-43m (No. 216)
One atom of each set of equivalent atoms:
K 0.0000 0.0000 0.0000 x4
Pr 0.0000 0.0000 0.5000 x4
Hf 0.2500 0.2500 0.7500 x4
In 0.2500 0.2500 0.2500 x4
O 0.0045 0.2500 0.7500 x24

[5]
Starting from a structure optimized by DFT (GGA-PBE), the powder diffractogram of LaHf2InRe was simulated for a wavelength of 1.5418 Å.
Intensities are scaled so that the largest is 100.

Top 10 peaks for 2θ = 10–80°, sorted by position:
2θ/deg	I (rel.)	h k l
16.44	39	0 0 1
17.31	37	1 0 0
23.96	23	1 0 1
29.72	88	1 1 1
33.23	58	0 0 2
35.04	100	2 0 0
49.06	77	2 0 2
50.39	36	2 2 0
59.60	24	3 1 1
61.71	39	2 2 2

Unit cell a=5.1218 b=5.1218 c=5.3919 alpha=90.00 beta=90.00 gamma=90.00
Space group P4/mmm (No. 123)
One atom of each set of equivalent atoms:
La 0.0000 0.0000 0.0000 x1
Hf 0.0000 0.5000 0.5000 x2
In 0.5000 0.5000 0.0000 x1
Re 0.0000 0.0000 0.5000 x1

[6]
Starting from a structure optimized by DFT (GGA-PBE), the powder diffractogram of Li2HfIn4 was simulated for a wavelength of 1.5418 Å.
Intensities are scaled so that the largest is 100.

Top 10 peaks for 2θ = 10–80°, sorted by position:
2θ/deg	I (rel.)	h k l
18.24	42	1 0 1
18.68	17	1 1 0
25.28	13	0 0 2
26.53	23	2 0 0
32.39	21	2 1 1
36.97	100	2 0 2
37.87	47	2 2 0
54.64	16	4 0 0
66.02	18	2 2 4
67.81	33	4 2 2

Unit cell a=6.7194 b=6.7194 c=7.0472 alpha=90.00 beta=90.00 gamma=90.00
Space group I4/mmm (No. 139)
One atom of each set of equivalent atoms:
Li 0.0000 0.5000 0.0000 x4
Hf 0.0000 0.0000 0.0000 x2
In 0.2500 0.2500 0.2500 x8

[7]
Starting from a structure optimized by DFT (GGA-PBE), the powder diffractogram of LiHfIn was simulated for a wavelength of 1.5418 Å.
Intensities are scaled so that the largest is 100.

Top 10 peaks for 2θ = 10–80°, sorted by position:
2θ/deg	I (rel.)	h k l
11.24	100	0 0 1
22.59	15	0 0 2
32.56	13	1 0 2
34.17	18	0 0 3
34.28	19	1 1 -1
34.58	14	1 0 -3
35.72	29	2 0 -1
37.27	47	1 1 1
38.37	44	1 1 -2
55.03	12	0 1 4

Unit cell a=5.0385 b=3.1481 c=8.1226 alpha=90.00 beta=104.29 gamma=90.00
Space group Pm (No. 6)
One atom of each set of equivalent atoms:
Li 0.0000 0.0000 0.0000 x1
Li 0.4873 0.5000 0.0174 x1
Hf 0.2810 0.5000 0.3787 x1
Hf 0.8959 0.5000 0.6417 x1
In 0.4305 0.0000 0.7266 x1
In 0.7510 0.0000 0.2958 x1

[8]
Starting from a structure optimized by DFT (GGA-PBE), the powder diffractogram of Hf3MgIn4 was simulated for a wavelength of 1.5418 Å.
Intensities are scaled so that the largest is 100.

Top 10 peaks for 2θ = 10–80°, sorted by position:
2θ/deg	I (rel.)	h k l
17.30	6	1 0 1
35.05	100	2 0 2
39.28	18	4 0 0
41.39	31	0 2 2
58.38	23	4 2 2
68.46	8	6 0 2
68.51	7	6 2 0
71.33	12	2 2 4
71.46	12	2 4 2
73.99	6	4 0 4

Unit cell a=9.1745 b=6.1609 c=6.1785 alpha=90.00 beta=90.00 gamma=90.00
Space group Pmna (No. 53)
One atom of each set of equivalent atoms:
Hf 0.0000 0.0000 0.0000 x2
Hf 0.2500 0.2427 0.2500 x4
Mg 0.0000 0.5000 0.5000 x2
In 0.0000 0.0000 0.5000 x2
In 0.0000 0.5000 0.0000 x2
In 0.2500 0.2496 0.7500 x4

[9]
Starting from a structure optimized by DFT (GGA-PBE), the powder diffractogram of HfMgInNi2 was simulated for a wavelength of 1.5418 Å.
Intensities are scaled so that the largest is 100.

Top 10 peaks for 2θ = 10–80°, sorted by position:
2θ/deg	I (rel.)	h k l
16.16	27	0 0 1
19.03	100	1 0 0
27.04	21	1 1 0
32.66	38	0 0 2
38.07	35	1 0 2
38.61	48	2 0 0
43.39	24	2 1 0
51.45	41	2 0 2
55.35	24	2 1 2
66.13	19	2 2 2

Unit cell a=4.6633 b=4.6633 c=5.4833 alpha=90.00 beta=90.00 gamma=90.00
Space group P4/mmm (No. 123)
One atom of each set of equivalent atoms:
Hf 0.0000 0.0000 0.0000 x1
Mg 0.5000 0.5000 0.5000 x1
In 0.0000 0.0000 0.5000 x1
Ni 0.0000 0.5000 0.0000 x2

[10]
Starting from a structure optimized by DFT (GGA-PBE), the powder diffractogram of HfMgZnIn was simulated for a wavelength of 1.5418 Å.
Intensities are scaled so that the largest is 100.

Top 10 peaks for 2θ = 10–80°, sorted by position:
2θ/deg	I (rel.)	h k l
20.46	34	0 0 1
29.74	27	1 1 0
36.37	100	1 1 1
41.64	34	0 2 0
43.44	15	2 0 0
51.99	12	1 1 2
60.35	11	0 2 2
61.75	21	2 2 0
72.55	26	1 3 1
75.09	12	3 1 1

Unit cell a=4.1660 b=4.3347 c=4.3412 alpha=90.00 beta=90.00 gamma=90.00
Space group Pmmm (No. 47)
One atom of each set of equivalent atoms:
Hf 0.0000 0.0000 0.0000 x1
Mg 0.0000 0.5000 0.5000 x1
Zn 0.5000 0.0000 0.5000 x1
In 0.5000 0.5000 0.0000 x1

[11]
Starting from a structure optimized by DFT (GGA-PBE), the powder diffractogram of Hf4MnIn was simulated for a wavelength of 1.5418 Å.
Intensities are scaled so that the largest is 100.

Top 10 peaks for 2θ = 10–80°, sorted by position:
2θ/deg	I (rel.)	h k l
29.59	25	0 4 0
32.65	26	1 3 1
33.19	69	1 1 -2
34.39	100	3 1 -1
36.78	94	2 2 1
38.31	37	2 4 -1
39.50	37	1 3 -2
40.55	23	3 3 -1
58.95	33	1 1 3
67.69	25	2 0 -4

Unit cell a=8.1061 b=12.0772 c=5.5379 alpha=90.00 beta=109.89 gamma=90.00
Space group C2/c (No. 15)
One atom of each set of equivalent atoms:
Hf 0.1100 0.1697 0.0594 x8
Hf 0.2284 0.4191 0.3649 x8
Mn 0.0000 0.9997 0.2500 x4
In 0.0000 0.3793 0.7500 x4

[12]
Starting from a structure optimized by DFT (GGA-PBE), the powder diffractogram of Hf6In5Mo was simulated for a wavelength of 1.5418 Å.
Intensities are scaled so that the largest is 100.

Top 10 peaks for 2θ = 10–80°, sorted by position:
2θ/deg	I (rel.)	h k l
35.45	100	1 2 1
40.13	18	0 0 3
40.94	17	2 0 -1
42.38	14	0 4 0
58.67	12	2 0 2
59.78	10	0 4 3
69.89	13	1 2 4
71.00	13	3 2 0
73.02	10	1 6 1
75.01	10	2 4 2

Unit cell a=4.4091 b=8.5307 c=7.0900 alpha=90.00 beta=108.05 gamma=90.00
Space group P2/m (No. 10)
One atom of each set of equivalent atoms:
Hf 0.0000 0.2286 0.0000 x2
Hf 0.3367 0.2393 0.6732 x4
In 0.1638 0.0000 0.3275 x2
In 0.1661 0.5000 0.3324 x2
In 0.5000 0.5000 0.0000 x1
Mo 0.5000 0.0000 0.0000 x1